For CaVO2, a GGA+U-relaxed structure gives the simulated powder diffractogram in this record (Cu Kα X-rays).
Lines closer than 0.1° are merged.

Main lines, sorted by position (10° ≤ 2θ ≤ 90°):
10.7°, intensity 29
30.6°, intensity 32
34.3°, intensity 27
37.0°, intensity 100
43.2°, intensity 37
48.8°, intensity 30

Cell: 8.407 8.407 8.407 Å, 91.95 91.95 158.74°
Fractional coordinates of all 16 atoms:
Ca 0.122 0.834 0.956
Ca 0.166 0.122 0.287
Ca 0.834 0.878 0.713
Ca 0.878 0.166 0.044
V 0.148 0.537 0.684
V 0.463 0.148 0.611
V 0.537 0.852 0.389
V 0.852 0.463 0.316
O 0.160 0.360 0.519
O 0.320 0.533 0.853
O 0.360 0.840 0.200
O 0.467 0.320 0.786
O 0.533 0.680 0.214
O 0.640 0.160 0.800
O 0.680 0.467 0.147
O 0.840 0.640 0.481